Starting from a structure optimized by DFT (PBE), the PXRD pattern of K3GdCl6 was calculated for Cu Kα.
Neutral-atom scattering factors, no anomalous dispersion.

Principal peaks in the range 2θ from 10° to 80°, low angle first:
Position (°2θ)  Rel. int.
13.6  73
15.7  83
22.3  87
26.2  30
31.7  100
35.6  40
39.1  39
45.5  66
56.5  21
75.3  25

a b c (Å): 7.978 7.978 7.978
angles (deg): 60.00 60.00 60.00
Atoms (fractional coordinates):
K (0.000, 0.000, 0.000)
K (0.250, 0.250, 0.250)
K (0.750, 0.750, 0.750)
Gd (0.500, 0.500, 0.500)
Cl (0.264, 0.264, 0.736)
Cl (0.264, 0.736, 0.264)
Cl (0.264, 0.736, 0.736)
Cl (0.736, 0.264, 0.264)
Cl (0.736, 0.264, 0.736)
Cl (0.736, 0.736, 0.264)